Entry 1:
# Zr2HgTe3Se
Computed X-ray diffraction stick pattern, CuKα. Input: a crystal structure in OQMD, relaxed with PBE.

The 6 most intense peaks (2θ = 10–80°), in order of rising 2θ:
two_theta	d/Å	I/Imax
23.16	3.841	90
24.08	3.696	100
35.55	2.525	27
35.72	2.513	36
40.32	2.237	40
42.16	2.143	28

Structural model:
Cell lengths 6.989, 7.282, 7.446 Å; angles 119.10, 115.23, 90.26 degrees
Sites, in units of the cell vectors:
Zr 0.000 0.000 0.000
Zr 0.247 0.763 0.514
Hg 0.490 0.481 0.005
Te 0.353 0.926 0.289
Te 0.624 0.662 0.735
Te 0.936 0.381 0.298
Se 0.093 0.058 0.733

Entry 2:
# LiPaAg
Computed X-ray diffraction stick pattern, CuKα. Input: a crystal structure in OQMD, relaxed with PBE.

The 6 most intense peaks (2θ = 10–80°), in order of rising 2θ:
two_theta	d/Å	I/Imax
22.98	3.870	100
37.97	2.370	80
44.84	2.021	53
60.17	1.538	22
68.58	1.368	28
73.39	1.290	17

Structural model:
Cell lengths 4.740, 4.740, 4.740 Å; angles 60.00, 60.00, 60.00 degrees
Sites, in units of the cell vectors:
Li 0.000 0.000 0.000
Pa 0.500 0.500 0.500
Ag 0.250 0.250 0.250

Entry 3:
# MgZnSeO
Computed X-ray diffraction stick pattern, CuKα. Input: a crystal structure in OQMD, relaxed with PBE.

The 6 most intense peaks (2θ = 10–80°), in order of rising 2θ:
two_theta	d/Å	I/Imax
14.10	6.281	100
23.77	3.743	54
33.37	2.685	43
34.39	2.608	53
38.64	2.330	33
41.86	2.158	37

Structural model:
Cell lengths 6.508, 6.677, 12.562 Å; angles 90.00, 90.00, 90.00 degrees
Sites, in units of the cell vectors:
Mg 0.130 0.065 0.243
Mg 0.130 0.435 0.743
Mg 0.370 0.565 0.243
Mg 0.370 0.935 0.743
Mg 0.630 0.065 0.257
Mg 0.630 0.435 0.757
Mg 0.870 0.565 0.257
Mg 0.870 0.935 0.757
Zn 0.081 0.714 0.938
Zn 0.081 0.786 0.438
Zn 0.419 0.214 0.938
Zn 0.419 0.286 0.438
Zn 0.581 0.714 0.562
Zn 0.581 0.786 0.062
Zn 0.919 0.214 0.562
Zn 0.919 0.286 0.062
Se 0.247 0.544 0.549
Se 0.247 0.956 0.049
Se 0.253 0.044 0.549
Se 0.253 0.456 0.049
Se 0.747 0.544 0.951
Se 0.747 0.956 0.451
Se 0.753 0.044 0.951
Se 0.753 0.456 0.451
O 0.125 0.741 0.281
O 0.125 0.759 0.781
O 0.375 0.241 0.281
O 0.375 0.259 0.781
O 0.625 0.741 0.219
O 0.625 0.759 0.719
O 0.875 0.241 0.219
O 0.875 0.259 0.719

Entry 4:
# Lu5In4Pd2
Computed X-ray diffraction stick pattern, CuKα. Input: a crystal structure in OQMD, relaxed with PBE.

The 6 most intense peaks (2θ = 10–80°), in order of rising 2θ:
two_theta	d/Å	I/Imax
31.99	2.798	27
34.00	2.637	76
35.22	2.549	100
36.85	2.439	25
37.01	2.429	28
37.25	2.414	31

Structural model:
Cell lengths 7.959, 17.939, 3.577 Å; angles 90.00, 90.00, 90.00 degrees
Sites, in units of the cell vectors:
Lu 0.000 0.000 0.000
Lu 0.113 0.418 0.000
Lu 0.236 0.220 0.000
Lu 0.264 0.720 0.000
Lu 0.387 0.918 0.000
Lu 0.500 0.500 0.000
Lu 0.613 0.082 0.000
Lu 0.736 0.280 0.000
Lu 0.764 0.780 0.000
Lu 0.887 0.582 0.000
In 0.085 0.852 0.500
In 0.215 0.568 0.500
In 0.285 0.068 0.500
In 0.415 0.352 0.500
In 0.585 0.648 0.500
In 0.715 0.932 0.500
In 0.785 0.432 0.500
In 0.915 0.148 0.500
Pd 0.022 0.305 0.500
Pd 0.478 0.805 0.500
Pd 0.522 0.195 0.500
Pd 0.978 0.695 0.500

Entry 5:
# Cs2Sb2Ir2O7
Computed X-ray diffraction stick pattern, CuKα. Input: a crystal structure in OQMD, relaxed with PBE.

The 6 most intense peaks (2θ = 10–80°), in order of rising 2θ:
two_theta	d/Å	I/Imax
27.63	3.228	100
30.21	2.958	83
41.40	2.181	32
47.19	1.926	28
52.10	1.756	38
65.92	1.417	21

Structural model:
Cell lengths 5.917, 5.917, 8.315 Å; angles 90.00, 90.00, 120.00 degrees
Sites, in units of the cell vectors:
Cs 0.333 0.667 0.099
Cs 0.667 0.333 0.901
Sb 0.333 0.667 0.598
Sb 0.667 0.333 0.402
Ir 0.000 0.000 0.254
Ir 0.000 0.000 0.746
O 0.000 0.000 0.500
O 0.186 0.371 0.765
O 0.186 0.814 0.765
O 0.371 0.186 0.235
O 0.629 0.814 0.765
O 0.814 0.186 0.235
O 0.814 0.629 0.235

Entry 6:
# PrNiBPd3
Computed X-ray diffraction stick pattern, CuKα. Input: a crystal structure in OQMD, relaxed with PBE.

The 6 most intense peaks (2θ = 10–80°), in order of rising 2θ:
two_theta	d/Å	I/Imax
30.73	2.910	76
38.02	2.367	100
41.10	2.196	82
57.23	1.610	26
64.20	1.451	21
68.69	1.366	27

Structural model:
Cell lengths 5.465, 5.465, 7.379 Å; angles 90.00, 90.00, 120.00 degrees
Sites, in units of the cell vectors:
Pr 0.000 0.000 0.000
Pr 0.000 0.000 0.500
Ni 0.333 0.667 0.000
Ni 0.667 0.333 0.000
B 0.333 0.667 0.500
B 0.667 0.333 0.500
Pd 0.000 0.500 0.292
Pd 0.000 0.500 0.708
Pd 0.500 0.000 0.292
Pd 0.500 0.000 0.708
Pd 0.500 0.500 0.292
Pd 0.500 0.500 0.708

Entry 7:
# Gd2P2IrOsS2
Computed X-ray diffraction stick pattern, CuKα. Input: a crystal structure in OQMD, relaxed with PBE.

The 6 most intense peaks (2θ = 10–80°), in order of rising 2θ:
two_theta	d/Å	I/Imax
10.12	8.741	63
23.75	3.747	38
32.20	2.780	40
36.91	2.435	100
43.65	2.074	42
75.72	1.256	25

Structural model:
Cell lengths 4.147, 4.147, 8.741 Å; angles 90.00, 90.00, 90.00 degrees
Sites, in units of the cell vectors:
Gd 0.000 0.500 0.198
Gd 0.500 0.000 0.802
P 0.000 0.500 0.639
P 0.500 0.000 0.361
Ir 0.500 0.500 0.500
Os 0.000 0.000 0.500
S 0.000 0.000 0.000
S 0.500 0.500 0.000

Entry 8:
# LaTa3O9
Computed X-ray diffraction stick pattern, CuKα. Input: a crystal structure in OQMD, relaxed with PBE.

The 6 most intense peaks (2θ = 10–80°), in order of rising 2θ:
two_theta	d/Å	I/Imax
23.18	3.838	63
27.85	3.204	62
28.59	3.122	50
30.72	2.910	100
34.59	2.593	44
57.53	1.602	36

Structural model:
Cell lengths 6.579, 7.675, 12.490 Å; angles 90.00, 90.00, 90.00 degrees
Sites, in units of the cell vectors:
La 0.050 0.250 0.023
La 0.450 0.750 0.523
La 0.550 0.250 0.477
La 0.950 0.750 0.977
Ta 0.000 0.000 0.500
Ta 0.000 0.500 0.500
Ta 0.216 0.003 0.784
Ta 0.216 0.497 0.784
Ta 0.284 0.503 0.284
Ta 0.284 0.997 0.284
Ta 0.500 0.000 0.000
Ta 0.500 0.500 0.000
Ta 0.716 0.003 0.716
Ta 0.716 0.497 0.716
Ta 0.784 0.503 0.216
Ta 0.784 0.997 0.216
O 0.025 0.039 0.657
O 0.025 0.461 0.657
O 0.066 0.750 0.524
O 0.093 0.018 0.165
O 0.093 0.482 0.165
O 0.186 0.250 0.823
O 0.204 0.750 0.796
O 0.215 0.530 0.958
O 0.215 0.970 0.958
O 0.285 0.030 0.458
O 0.285 0.470 0.458
O 0.296 0.250 0.296
O 0.314 0.750 0.323
O 0.407 0.518 0.665
O 0.407 0.982 0.665
O 0.434 0.250 0.024
O 0.475 0.539 0.157
O 0.475 0.961 0.157
O 0.525 0.039 0.843
O 0.525 0.461 0.843
O 0.566 0.750 0.976
O 0.593 0.018 0.335
O 0.593 0.482 0.335
O 0.686 0.250 0.677
O 0.704 0.750 0.704
O 0.715 0.530 0.542
O 0.715 0.970 0.542
O 0.785 0.030 0.042
O 0.785 0.470 0.042
O 0.796 0.250 0.204
O 0.814 0.750 0.177
O 0.907 0.518 0.835
O 0.907 0.982 0.835
O 0.934 0.250 0.476
O 0.975 0.539 0.343
O 0.975 0.961 0.343

Entry 9:
# SmTmTlNi2
Computed X-ray diffraction stick pattern, CuKα. Input: a crystal structure in OQMD, relaxed with PBE.

The 6 most intense peaks (2θ = 10–80°), in order of rising 2θ:
two_theta	d/Å	I/Imax
29.34	3.044	51
33.91	2.644	100
34.71	2.585	70
38.66	2.329	34
46.29	1.961	22
59.13	1.562	30

Structural model:
Cell lengths 3.693, 7.498, 7.498 Å; angles 30.33, 90.00, 90.00 degrees
Sites, in units of the cell vectors:
Sm 0.000 0.000 0.000
Tm 0.000 0.278 0.278
Tl 0.500 0.642 0.642
Ni 0.500 0.434 0.434
Ni 0.500 0.835 0.835

Entry 10:
# BaLiPrTe3
Computed X-ray diffraction stick pattern, CuKα. Input: a crystal structure in OQMD, relaxed with PBE.

The 6 most intense peaks (2θ = 10–80°), in order of rising 2θ:
two_theta	d/Å	I/Imax
25.49	3.494	57
26.21	3.400	71
27.29	3.268	84
30.33	2.947	100
38.79	2.322	39
38.98	2.311	79

Structural model:
Cell lengths 7.868, 7.868, 11.838 Å; angles 90.00, 90.00, 145.80 degrees
Sites, in units of the cell vectors:
Ba 0.250 0.750 0.750
Ba 0.750 0.250 0.250
Li 0.029 0.971 0.250
Li 0.971 0.029 0.750
Pr 0.500 0.500 0.000
Pr 0.500 0.500 0.500
Te 0.140 0.860 0.063
Te 0.140 0.860 0.437
Te 0.424 0.576 0.250
Te 0.576 0.424 0.750
Te 0.860 0.140 0.563
Te 0.860 0.140 0.937

Entry 11:
# Li2Mg2SiGePd2
Computed X-ray diffraction stick pattern, CuKα. Input: a crystal structure in OQMD, relaxed with PBE.

The 6 most intense peaks (2θ = 10–80°), in order of rising 2θ:
two_theta	d/Å	I/Imax
24.89	3.577	81
41.21	2.191	100
48.75	1.868	38
59.70	1.549	16
65.69	1.421	15
75.11	1.265	32

Structural model:
Cell lengths 4.381, 4.381, 6.195 Å; angles 90.00, 90.00, 90.00 degrees
Sites, in units of the cell vectors:
Li 0.000 0.500 0.247
Li 0.500 0.000 0.753
Mg 0.000 0.000 0.000
Mg 0.500 0.500 0.500
Si 0.500 0.500 0.000
Ge 0.000 0.000 0.500
Pd 0.000 0.500 0.761
Pd 0.500 0.000 0.239

Entry 12:
# LaPd3O6
Computed X-ray diffraction stick pattern, CuKα. Input: a crystal structure in OQMD, relaxed with PBE.

The 6 most intense peaks (2θ = 10–80°), in order of rising 2θ:
two_theta	d/Å	I/Imax
28.14	3.171	100
34.18	2.623	67
36.88	2.437	21
38.57	2.334	41
41.81	2.160	28
61.79	1.501	25

Structural model:
Cell lengths 5.654, 5.654, 5.654 Å; angles 111.33, 111.33, 111.33 degrees
Sites, in units of the cell vectors:
La 0.000 0.000 0.000
Pd 0.396 0.396 0.800
Pd 0.396 0.800 0.396
Pd 0.800 0.396 0.396
O 0.191 0.466 0.466
O 0.466 0.191 0.466
O 0.466 0.466 0.191
O 0.575 0.985 0.985
O 0.985 0.575 0.985
O 0.985 0.985 0.575